The following is a simulated X-ray powder pattern of Tm2Al3ZnNi2. It was derived from the GGA-PBE geometry in OQMD, using Cu Kα X-rays.

Largest 10 diffraction maxima, in order of rising 2θ, 5 to 70 degrees two-theta:
2theta, d_spacing, I (rel.)
22.32, 3.983, 20
23.75, 3.746, 50
25.58, 3.482, 41
35.19, 2.550, 100
37.81, 2.379, 95
39.31, 2.292, 47
44.64, 2.030, 29
53.65, 1.708, 13
58.46, 1.579, 15
60.96, 1.520, 26

Atomic structure:
```
Tm2Al3ZnNi2
1.0
4.8559 -2.0301 0.0000
4.8559 2.0301 0.0000
-0.0265 0.0000 6.9634
Tm Al Zn Ni
2 3 1 2
direct
0.0000 0.0000 0.0000
0.1276 0.1276 0.4933
0.4128 0.4128 0.6924
0.7136 0.7136 0.8032
0.7194 0.7194 0.1941
0.4177 0.4177 0.3019
0.2784 0.2784 0.9950
0.8436 0.8436 0.5049
```

=====

The following is a simulated X-ray powder pattern of Y3Al19Ni5. It was derived from the GGA-PBE geometry in OQMD, using Cu Kα X-rays.

Largest 10 diffraction maxima, in order of rising 2θ, 5 to 70 degrees two-theta:
2theta, d_spacing, I (rel.)
22.58, 3.938, 33
24.39, 3.650, 36
30.64, 2.918, 50
35.75, 2.512, 31
35.90, 2.501, 36
37.58, 2.394, 100
39.54, 2.279, 51
40.95, 2.204, 24
44.51, 2.035, 72
45.49, 1.994, 28

Atomic structure:
```
Y3Al19Ni5
1.0
2.0355 -7.9798 0.0000
2.0355 7.9798 0.0000
0.0000 0.0000 27.1057
Y Al Ni
6 38 10
direct
0.1124 0.8876 0.7500
0.3332 0.6668 0.6354
0.3332 0.6668 0.8646
0.6668 0.3332 0.1354
0.6668 0.3332 0.3646
0.8876 0.1124 0.2500
0.0367 0.9633 0.1013
0.0367 0.9633 0.3987
0.0792 0.9208 0.2019
0.0792 0.9208 0.2981
0.0941 0.9059 0.5371
0.0941 0.9059 0.9629
0.1301 0.8699 0.6353
0.1301 0.8699 0.8647
0.2653 0.7347 0.5288
0.2653 0.7347 0.9712
0.2759 0.7241 0.1937
0.2759 0.7241 0.3063
0.2910 0.7090 0.0887
0.2910 0.7090 0.4113
0.3064 0.6936 0.7500
0.4331 0.5669 0.5318
0.4331 0.5669 0.9682
0.4640 0.5360 0.1747
0.4640 0.5360 0.3253
0.5360 0.4640 0.6747
0.5360 0.4640 0.8253
0.5669 0.4331 0.0318
0.5669 0.4331 0.4682
0.6936 0.3064 0.2500
0.7090 0.2910 0.5887
0.7090 0.2910 0.9113
0.7241 0.2759 0.6937
0.7241 0.2759 0.8063
0.7347 0.2653 0.0288
0.7347 0.2653 0.4712
0.8699 0.1301 0.1353
0.8699 0.1301 0.3647
0.9059 0.0941 0.0371
0.9059 0.0941 0.4629
0.9208 0.0792 0.7019
0.9208 0.0792 0.7981
0.9633 0.0367 0.6013
0.9633 0.0367 0.8987
0.1587 0.8413 0.0422
0.1587 0.8413 0.4578
0.4460 0.5540 0.0852
0.4460 0.5540 0.4148
0.4547 0.5453 0.7500
0.5453 0.4547 0.2500
0.5540 0.4460 0.5852
0.5540 0.4460 0.9148
0.8413 0.1587 0.5422
0.8413 0.1587 0.9578
```

=====

The following is a simulated X-ray powder pattern of Y10Al3Ni. It was derived from the GGA-PBE geometry in OQMD, using Cu Kα X-rays.

Largest 10 diffraction maxima, in order of rising 2θ, 5 to 70 degrees two-theta:
2theta, d_spacing, I (rel.)
28.51, 3.131, 52
30.02, 2.976, 48
33.79, 2.653, 56
34.23, 2.620, 100
35.52, 2.527, 38
37.61, 2.392, 27
56.35, 1.633, 33
57.83, 1.594, 26
58.70, 1.573, 26
59.00, 1.566, 24

Atomic structure:
```
Y10Al3Ni
1.0
9.5651 0.0000 0.0000
-4.7825 8.2836 0.0000
0.0000 0.0000 9.5692
Y Al Ni
20 6 2
direct
0.0000 0.0000 0.0000
0.0000 0.0000 0.5000
0.0873 0.5437 0.2500
0.2077 0.4153 0.5617
0.2077 0.4153 0.9383
0.2077 0.7923 0.5617
0.2077 0.7923 0.9383
0.4153 0.2077 0.0617
0.4153 0.2077 0.4383
0.4563 0.5437 0.2500
0.4563 0.9127 0.2500
0.5437 0.0873 0.7500
0.5437 0.4563 0.7500
0.5847 0.7923 0.5617
0.5847 0.7923 0.9383
0.7923 0.2077 0.0617
0.7923 0.2077 0.4383
0.7923 0.5847 0.0617
0.7923 0.5847 0.4383
0.9127 0.4563 0.7500
0.1129 0.2257 0.2500
0.1129 0.8871 0.2500
0.2257 0.1129 0.7500
0.7743 0.8871 0.2500
0.8871 0.1129 0.7500
0.8871 0.7743 0.7500
0.3333 0.6667 0.7500
0.6667 0.3333 0.2500
```

=====

The following is a simulated X-ray powder pattern of YAl2Ni. It was derived from the GGA-PBE geometry in OQMD, using Cu Kα X-rays.

Largest 10 diffraction maxima, in order of rising 2θ, 5 to 70 degrees two-theta:
2theta, d_spacing, I (rel.)
20.07, 4.425, 27
26.11, 3.412, 41
30.10, 2.969, 32
31.34, 2.854, 87
34.54, 2.597, 100
37.88, 2.375, 38
41.74, 2.164, 71
43.26, 2.092, 43
45.30, 2.002, 37
63.29, 1.469, 39

Atomic structure:
```
YAl2Ni
1.0
2.0916 -8.8499 0.0000
2.0916 8.8499 0.0000
0.0000 0.0000 4.0034
Y Al Ni
2 4 2
direct
0.1419 0.8581 0.0000
0.8581 0.1419 0.0000
0.0000 0.0000 0.5000
0.2917 0.7083 0.5000
0.5000 0.5000 0.0000
0.7083 0.2917 0.5000
0.4254 0.5746 0.5000
0.5746 0.4254 0.5000
```